# 1
The following is a computed powder diffractogram of MgV5Mo5O25. It was derived from the GGA+U geometry in the Materials Project, using Cu Kα X-rays.
Lines closer than 0.1° are merged.

```
MgV5Mo5O25
1.0
5.500 0.000 0.000
-1.586 6.441 0.000
-0.698 -3.158 13.321
Mg V Mo O
1 5 5 25
direct
0.000 0.000 0.000
0.045 0.016 0.764
0.241 0.216 0.582
0.274 0.423 0.157
0.647 0.026 0.391
0.659 0.223 0.954
0.085 0.859 0.193
0.442 0.799 0.561
0.475 0.646 0.988
0.840 0.586 0.354
0.851 0.434 0.773
0.012 0.544 0.238
0.097 0.290 0.713
0.101 0.703 0.445
0.172 0.115 0.147
0.195 0.576 0.907
0.222 0.064 0.877
0.232 0.951 0.642
0.315 0.707 0.119
0.336 0.525 0.569
0.399 0.963 0.301
0.449 0.373 0.040
0.472 0.074 0.507
0.506 0.492 0.252
0.597 0.344 0.680
0.616 0.750 0.434
0.620 0.927 0.955
0.667 0.479 0.891
0.717 0.885 0.644
0.755 0.328 0.379
0.793 0.153 0.825
0.841 0.762 0.076
0.879 0.893 0.298
0.931 0.303 0.035
0.950 0.707 0.763
0.986 0.138 0.497
```

The 10 most intense peaks (2θ = 15–90°), low angle first:
h k l	d/Å	I (rel.)
1 0 2	3.951	100
-1 1 2	3.699	37
1 0 -3	3.601	53
1 1 1	3.324	28
0 2 -2	3.127	46
-1 2 1	2.884	33
1 1 -4	2.750	23
0 0 5	2.664	22
0 3 -3	2.085	23
-2 1 5	1.908	24

***

# 2
The following is a computed powder diffractogram of MgV5Mo5O25. It was derived from the GGA+U geometry in the Materials Project, using Cu Kα X-rays.
Lines closer than 0.1° are merged.

```
MgV5Mo5O25
1.0
5.491 0.000 0.000
1.076 6.347 0.000
1.992 2.719 13.692
Mg V Mo O
1 5 5 25
direct
0.000 0.000 0.000
0.226 0.703 0.759
0.317 0.336 0.945
0.356 0.699 0.392
0.723 0.325 0.143
0.801 0.695 0.575
0.167 0.295 0.337
0.515 0.728 0.990
0.580 0.295 0.537
0.914 0.724 0.199
0.980 0.295 0.744
0.039 0.325 0.018
0.057 0.694 0.491
0.081 0.008 0.754
0.160 0.644 0.290
0.183 0.726 0.088
0.222 0.381 0.809
0.249 0.013 0.361
0.316 0.293 0.622
0.343 0.650 0.890
0.351 0.031 0.949
0.412 0.359 0.418
0.477 0.719 0.678
0.485 0.289 0.232
0.547 0.393 0.026
0.565 0.627 0.498
0.661 0.728 0.297
0.693 0.637 0.121
0.695 0.013 0.550
0.738 0.286 0.838
0.803 0.365 0.625
0.805 0.818 0.942
0.841 0.014 0.143
0.915 0.322 0.428
0.964 0.632 0.697
0.978 0.367 0.227
```

The 10 most intense peaks (2θ = 15–90°), low angle first:
h k l	d/Å	I (rel.)
1 0 -2	4.022	100
1 0 3	3.685	33
1 1 3	3.598	51
-1 1 2	3.391	20
0 2 0	3.113	42
1 -1 3	2.868	31
1 2 3	2.747	21
0 3 0	2.075	23
2 0 -4	2.011	19
2 1 6	1.904	23